(1)
For Mn3FeAs4, a GGA-PBE-relaxed structure gives the theoretical powder X-ray diffraction pattern in this record (copper Kα).
Intensities are scaled so that the largest is 100.

Largest 10 diffraction maxima, by angle, 10° ≤ 2θ ≤ 90°:
- 34.07°, rel. 100
- 42.27°, rel. 11
- 43.12°, rel. 28
- 44.94°, rel. 35
- 45.04°, rel. 38
- 52.69°, rel. 46
- 64.21°, rel. 8
- 64.29°, rel. 8
- 77.89°, rel. 8
- 87.71°, rel. 9

Structural model:
```
data_Mn3FeAs4
_chemical_formula_sum 'Mn3 Fe1 As4'
_cell_length_a 5.427
_cell_length_b 3.473
_cell_length_c 6.021
_cell_angle_alpha 90.00
_cell_angle_beta 90.19
_cell_angle_gamma 90.00
_symmetry_space_group_name_H-M 'P 1 m 1'
_symmetry_Int_Tables_number 6
loop_
_symmetry_equiv_pos_as_xyz
'x,y,z'
'x,-y,z'
loop_
_atom_site_label
_atom_site_fract_x
_atom_site_fract_y
_atom_site_fract_z
Mn1 0.000 0.000 0.000
Mn2 0.009 0.500 0.388
Mn3 0.499 0.000 0.891
Fe1 0.504 0.500 0.498
As1 0.197 0.500 0.771
As2 0.311 0.000 0.282
As3 0.699 0.500 0.116
As4 0.793 0.000 0.602
```

=====

(2)
For VBr2, a GGA-PBE-relaxed structure gives the theoretical powder X-ray diffraction pattern in this record (copper Kα).
Intensities are scaled so that the largest is 100.

Largest 10 diffraction maxima, by angle, 10° ≤ 2θ ≤ 90°:
- 13.17°, rel. 45
- 26.52°, rel. 11
- 29.94°, rel. 100
- 38.04°, rel. 48
- 47.28°, rel. 30
- 49.00°, rel. 27
- 56.98°, rel. 15
- 62.22°, rel. 11
- 77.09°, rel. 13
- 89.26°, rel. 10

Structural model:
```
data_VBr2
_chemical_formula_sum 'V1 Br2'
_cell_length_a 3.8454
_cell_length_b 3.8454
_cell_length_c 6.7211
_cell_angle_alpha 90.00
_cell_angle_beta 90.00
_cell_angle_gamma 120.00
_symmetry_space_group_name_H-M 'P -3 m 1'
_symmetry_Int_Tables_number 164
_symmetry_space_group_name_Hall '-P 3 2"'
loop_
_atom_site_label
_atom_site_fract_x
_atom_site_fract_y
_atom_site_fract_z
V1 0.0000 0.0000 0.0000
Br1 0.3333 0.6667 0.2160
```

=====

(3)
For CaCu3Ir4O12, a GGA-PBE-relaxed structure gives the theoretical powder X-ray diffraction pattern in this record (copper Kα).
Intensities are scaled so that the largest is 100.

Largest 10 diffraction maxima, by angle, 10° ≤ 2θ ≤ 90°:
- 23.63°, rel. 37
- 33.67°, rel. 100
- 41.55°, rel. 8
- 48.36°, rel. 22
- 54.50°, rel. 18
- 60.21°, rel. 45
- 70.79°, rel. 12
- 75.81°, rel. 7
- 80.72°, rel. 17
- 85.56°, rel. 5

Structural model:
```
data_CaCu3Ir4O12
_chemical_formula_sum 'Ca2 Cu6 Ir8 O24'
_cell_length_a 7.529
_cell_length_b 7.529
_cell_length_c 7.529
_cell_angle_alpha 90.00
_cell_angle_beta 90.00
_cell_angle_gamma 90.00
_symmetry_space_group_name_H-M 'I m -3'
_symmetry_Int_Tables_number 204
_symmetry_space_group_name_Hall '-I 2 2 3'
loop_
_atom_site_label
_atom_site_fract_x
_atom_site_fract_y
_atom_site_fract_z
Ca1 0.000 0.000 0.000
Cu1 0.000 0.000 0.500
Ir1 0.250 0.250 0.250
O1 0.000 0.169 0.305
```

=====

(4)
For CdHg3Te4, a GGA-PBE-relaxed structure gives the theoretical powder X-ray diffraction pattern in this record (copper Kα).
Intensities are scaled so that the largest is 100.

Largest 10 diffraction maxima, by angle, 10° ≤ 2θ ≤ 90°:
- 23.13°, rel. 100
- 26.77°, rel. 3
- 38.21°, rel. 80
- 45.14°, rel. 52
- 55.15°, rel. 14
- 60.59°, rel. 22
- 69.08°, rel. 28
- 73.93°, rel. 16
- 81.79°, rel. 9
- 86.42°, rel. 17

Structural model:
```
data_CdHg3Te4
_chemical_formula_sum 'Cd1 Hg3 Te4'
_cell_length_a 6.661
_cell_length_b 6.661
_cell_length_c 6.661
_cell_angle_alpha 90.00
_cell_angle_beta 90.00
_cell_angle_gamma 90.00
_symmetry_space_group_name_H-M 'P -4 3 m'
_symmetry_Int_Tables_number 215
_symmetry_space_group_name_Hall 'P -4 2 3'
loop_
_atom_site_label
_atom_site_fract_x
_atom_site_fract_y
_atom_site_fract_z
Cd1 0.000 0.000 0.000
Hg1 0.000 0.500 0.500
Te1 0.249 0.249 0.249
```

=====

(5)
For EuAlGe2O7, a GGA-PBE-relaxed structure gives the theoretical powder X-ray diffraction pattern in this record (copper Kα).
Intensities are scaled so that the largest is 100.

Largest 10 diffraction maxima, by angle, 10° ≤ 2θ ≤ 90°:
- 15.51°, rel. 45
- 24.52°, rel. 27
- 27.41°, rel. 100
- 27.74°, rel. 60
- 29.88°, rel. 96
- 30.76°, rel. 30
- 31.27°, rel. 37
- 33.08°, rel. 36
- 36.11°, rel. 27
- 47.80°, rel. 33

Structural model:
```
data_EuAlGe2O7
_chemical_formula_sum 'Eu4 Al4 Ge8 O28'
_cell_length_a 7.319
_cell_length_b 6.564
_cell_length_c 12.868
_cell_angle_alpha 90.00
_cell_angle_beta 117.23
_cell_angle_gamma 90.00
_symmetry_space_group_name_H-M 'P 1 21/c 1'
_symmetry_Int_Tables_number 14
loop_
_symmetry_equiv_pos_as_xyz
'x,y,z'
'-x,-y,-z'
'-x,y+1/2,-z+1/2'
'x,-y+1/2,z+1/2'
loop_
_atom_site_label
_atom_site_fract_x
_atom_site_fract_y
_atom_site_fract_z
Eu1 0.244 0.146 0.474
Al1 0.211 0.101 0.729
Ge1 0.208 0.657 0.450
Ge2 0.304 0.591 0.719
O1 0.006 0.661 0.912
O2 0.164 0.681 0.189
O3 0.203 0.052 0.865
O4 0.227 0.115 0.278
O5 0.248 0.503 0.573
O6 0.407 0.675 0.977
O7 0.427 0.123 0.699
```

=====

(6)
For KC8, a GGA-PBE-relaxed structure gives the theoretical powder X-ray diffraction pattern in this record (copper Kα).
Intensities are scaled so that the largest is 100.

Largest 10 diffraction maxima, by angle, 10° ≤ 2θ ≤ 90°:
- 16.54°, rel. 100
- 21.02°, rel. 52
- 22.20°, rel. 45
- 24.11°, rel. 37
- 29.38°, rel. 22
- 32.53°, rel. 17
- 33.43°, rel. 73
- 45.33°, rel. 66
- 68.16°, rel. 16
- 86.12°, rel. 16

Structural model:
```
data_KC8
_chemical_formula_sum 'K8 C64'
_cell_length_a 4.976
_cell_length_b 8.632
_cell_length_c 21.441
_cell_angle_alpha 90.00
_cell_angle_beta 90.00
_cell_angle_gamma 90.00
_symmetry_space_group_name_H-M 'F d d d'
_symmetry_Int_Tables_number 70
loop_
_symmetry_equiv_pos_as_xyz
'x,y,z'
'-x,-y,-z'
'-x+1/4,-y+1/4,z'
'x+1/4,y+1/4,-z'
'x,-y+1/4,-z+1/4'
'-x,y+1/4,z+1/4'
'-x+1/4,y,-z+1/4'
'x+1/4,-y,z+1/4'
'x,y+1/2,z+1/2'
'-x,-y+1/2,-z+1/2'
'-x+1/4,-y+3/4,z+1/2'
'x+1/4,y+3/4,-z+1/2'
'x,-y+3/4,-z+3/4'
'-x,y+3/4,z+3/4'
'-x+1/4,y+1/2,-z+3/4'
'x+1/4,-y+1/2,z+3/4'
'x+1/2,y,z+1/2'
'-x+1/2,-y,-z+1/2'
'-x+3/4,-y+1/4,z+1/2'
'x+3/4,y+1/4,-z+1/2'
'x+1/2,-y+1/4,-z+3/4'
'-x+1/2,y+1/4,z+3/4'
'-x+3/4,y,-z+3/4'
'x+3/4,-y,z+3/4'
'x+1/2,y+1/2,z'
'-x+1/2,-y+1/2,-z'
'-x+3/4,-y+3/4,z'
'x+3/4,y+3/4,-z'
'x+1/2,-y+3/4,-z+1/4'
'-x+1/2,y+3/4,z+1/4'
'-x+3/4,y+1/2,-z+1/4'
'x+3/4,-y+1/2,z+1/4'
loop_
_atom_site_label
_atom_site_fract_x
_atom_site_fract_y
_atom_site_fract_z
K1 0.125 0.125 0.125
C1 0.125 0.291 0.000
C2 0.125 0.291 0.501
```

=====

(7)
For Mg6Si5, a GGA-PBE-relaxed structure gives the theoretical powder X-ray diffraction pattern in this record (copper Kα).
Intensities are scaled so that the largest is 100.

Largest 10 diffraction maxima, by angle, 10° ≤ 2θ ≤ 90°:
- 33.50°, rel. 69
- 34.07°, rel. 58
- 35.00°, rel. 64
- 35.31°, rel. 67
- 35.87°, rel. 100
- 36.07°, rel. 60
- 37.05°, rel. 85
- 38.23°, rel. 61
- 40.81°, rel. 72
- 42.98°, rel. 53

Structural model:
```
data_Mg6Si5
_chemical_formula_sum 'Mg12 Si10'
_cell_length_a 5.323
_cell_length_b 6.751
_cell_length_c 11.559
_cell_angle_alpha 88.61
_cell_angle_beta 89.68
_cell_angle_gamma 85.13
_symmetry_space_group_name_H-M 'P 1'
_symmetry_Int_Tables_number 1
loop_
_symmetry_equiv_pos_as_xyz
'x,y,z'
loop_
_atom_site_label
_atom_site_fract_x
_atom_site_fract_y
_atom_site_fract_z
Mg1 0.000 0.000 0.000
Mg2 0.003 0.319 0.814
Mg3 0.052 0.861 0.729
Mg4 0.074 0.713 0.201
Mg5 0.272 0.210 0.250
Mg6 0.372 0.171 0.529
Mg7 0.473 0.287 0.003
Mg8 0.527 0.043 0.789
Mg9 0.569 0.723 0.594
Mg10 0.673 0.668 0.909
Mg11 0.783 0.416 0.381
Mg12 0.980 0.914 0.441
Si1 0.081 0.530 0.593
Si2 0.174 0.632 0.937
Si3 0.276 0.538 0.403
Si4 0.476 0.428 0.743
Si5 0.501 0.853 0.362
Si6 0.509 0.900 0.098
Si7 0.603 0.555 0.169
Si8 0.778 0.085 0.229
Si9 0.842 0.230 0.601
Si10 0.960 0.388 0.061
```

=====

(8)
For SiO2, a GGA-PBE-relaxed structure gives the theoretical powder X-ray diffraction pattern in this record (copper Kα).
Intensities are scaled so that the largest is 100.

Largest 10 diffraction maxima, by angle, 10° ≤ 2θ ≤ 90°:
- 23.98°, rel. 100
- 26.30°, rel. 76
- 33.36°, rel. 50
- 38.20°, rel. 66
- 40.11°, rel. 10
- 45.29°, rel. 12
- 61.06°, rel. 13
- 61.95°, rel. 17
- 65.82°, rel. 17
- 66.01°, rel. 20

Structural model:
```
data_SiO2
_chemical_formula_sum 'Si8 O16'
_cell_length_a 7.627
_cell_length_b 4.224
_cell_length_c 8.497
_cell_angle_alpha 90.00
_cell_angle_beta 90.00
_cell_angle_gamma 90.00
_symmetry_space_group_name_H-M 'P c c a'
_symmetry_Int_Tables_number 54
loop_
_symmetry_equiv_pos_as_xyz
'x,y,z'
'-x,-y,-z'
'-x+1/2,-y,z'
'x+1/2,y,-z'
'x+1/2,-y,-z+1/2'
'-x+1/2,y,z+1/2'
'-x,y,-z+1/2'
'x,-y,z+1/2'
loop_
_atom_site_label
_atom_site_fract_x
_atom_site_fract_y
_atom_site_fract_z
Si1 0.119 0.232 0.115
O1 0.000 0.000 0.000
O2 0.000 0.405 0.250
O3 0.250 0.000 0.212
O4 0.250 0.500 0.032
```

=====

(9)
For MoBr4N2, a GGA-PBE-relaxed structure gives the theoretical powder X-ray diffraction pattern in this record (copper Kα).
Intensities are scaled so that the largest is 100.

Largest 10 diffraction maxima, by angle, 10° ≤ 2θ ≤ 90°:
- 11.73°, rel. 100
- 13.19°, rel. 66
- 20.57°, rel. 52
- 23.58°, rel. 31
- 31.49°, rel. 63
- 32.21°, rel. 38
- 33.59°, rel. 61
- 39.71°, rel. 32
- 43.23°, rel. 21
- 48.27°, rel. 29

Structural model:
```
data_MoBr4N2
_chemical_formula_sum 'Mo4 Br16 N8'
_cell_length_a 10.672
_cell_length_b 10.672
_cell_length_c 8.635
_cell_angle_alpha 90.00
_cell_angle_beta 90.00
_cell_angle_gamma 90.00
_symmetry_space_group_name_H-M 'I 4/m m m'
_symmetry_Int_Tables_number 139
_symmetry_space_group_name_Hall '-I 4 2'
loop_
_atom_site_label
_atom_site_fract_x
_atom_site_fract_y
_atom_site_fract_z
Mo1 0.000 0.000 0.149
Br1 0.000 0.225 0.212
N1 0.229 0.229 0.500
```

=====

(10)
For SrTb2O4, a GGA-PBE-relaxed structure gives the theoretical powder X-ray diffraction pattern in this record (copper Kα).
Intensities are scaled so that the largest is 100.

Largest 10 diffraction maxima, by angle, 10° ≤ 2θ ≤ 90°:
- 29.63°, rel. 49
- 30.17°, rel. 100
- 31.11°, rel. 88
- 31.29°, rel. 42
- 43.63°, rel. 43
- 44.15°, rel. 25
- 53.51°, rel. 19
- 54.07°, rel. 23
- 54.41°, rel. 18
- 62.25°, rel. 29

Structural model:
```
data_SrTb2O4
_chemical_formula_sum 'Sr4 Tb8 O16'
_cell_length_a 10.200
_cell_length_b 3.453
_cell_length_c 12.062
_cell_angle_alpha 90.00
_cell_angle_beta 90.00
_cell_angle_gamma 90.00
_symmetry_space_group_name_H-M 'P n m a'
_symmetry_Int_Tables_number 62
loop_
_symmetry_equiv_pos_as_xyz
'x,y,z'
'-x,-y,-z'
'-x+1/2,-y,z+1/2'
'x+1/2,y,-z+1/2'
'x+1/2,-y+1/2,-z+1/2'
'-x+1/2,y+1/2,z+1/2'
'-x,y+1/2,-z'
'x,-y+1/2,z'
loop_
_atom_site_label
_atom_site_fract_x
_atom_site_fract_y
_atom_site_fract_z
Sr1 0.247 0.250 0.149
Tb1 0.077 0.250 0.388
Tb2 0.077 0.250 0.889
O1 0.015 0.750 0.784
O2 0.075 0.250 0.578
O3 0.126 0.750 0.020
O4 0.211 0.750 0.324
```

=====

(11)
For SrEuSi4, a GGA-PBE-relaxed structure gives the theoretical powder X-ray diffraction pattern in this record (copper Kα).
Intensities are scaled so that the largest is 100.

Largest 10 diffraction maxima, by angle, 10° ≤ 2θ ≤ 90°:
- 21.30°, rel. 33
- 25.60°, rel. 16
- 28.04°, rel. 48
- 31.67°, rel. 100
- 38.33°, rel. 40
- 41.30°, rel. 34
- 50.42°, rel. 18
- 50.66°, rel. 19
- 57.61°, rel. 24
- 69.29°, rel. 20

Structural model:
```
data_SrEuSi4
_chemical_formula_sum 'Sr2 Eu2 Si8'
_cell_length_a 4.372
_cell_length_b 4.372
_cell_length_c 13.918
_cell_angle_alpha 90.00
_cell_angle_beta 90.00
_cell_angle_gamma 90.00
_symmetry_space_group_name_H-M 'I -4 m 2'
_symmetry_Int_Tables_number 119
_symmetry_space_group_name_Hall 'I -4 -2'
loop_
_atom_site_label
_atom_site_fract_x
_atom_site_fract_y
_atom_site_fract_z
Sr1 0.000 0.000 0.000
Eu1 0.000 0.500 0.750
Si1 0.000 0.000 0.415
Si2 0.000 0.500 0.167
```